Record 1
Computed powder diffraction line list of Zr2CoOs for Cu Kα (weighted mean of Kα1 and Kα2), from a cell relaxed with PBE.
Kinematic intensities with the Lorentz-polarization factor, no thermal factor.

Cell and atoms:
Cell lengths 4.610, 4.610, 4.610 Å; angles 60.00, 60.00, 60.00 degrees
Atoms (fractional coordinates):
Zr 0.250 0.250 0.250
Zr 0.750 0.750 0.750
Co 0.000 0.000 0.000
Os 0.500 0.500 0.500

Main lines, low angle first (2θ = 10–90°):
2θ = 23.6°, d = 3.764 Å, I 19
2θ = 27.4°, d = 3.260 Å, I 2
2θ = 39.1°, d = 2.305 Å, I 100
2θ = 46.2°, d = 1.966 Å, I 11
2θ = 56.5°, d = 1.630 Å, I 17
2θ = 62.1°, d = 1.496 Å, I 5
2θ = 70.8°, d = 1.331 Å, I 34
2θ = 75.8°, d = 1.255 Å, I 4
2θ = 84.0°, d = 1.153 Å, I 11
2θ = 88.8°, d = 1.102 Å, I 4

---

Record 2
Computed powder diffraction line list of NaAuI4O12 for Cu Kα (weighted mean of Kα1 and Kα2), from a cell relaxed with PBE.
Kinematic intensities with the Lorentz-polarization factor, no thermal factor.

Cell and atoms:
Cell lengths 11.149, 4.740, 12.511 Å; angles 90.00, 116.71, 90.00 degrees
Atoms (fractional coordinates):
Na 0.000 0.000 0.000
Na 0.000 0.500 0.500
Au 0.500 0.000 0.500
Au 0.500 0.500 0.000
I 0.158 0.053 0.320
I 0.158 0.447 0.820
I 0.320 0.002 0.652
I 0.320 0.498 0.152
I 0.680 0.502 0.848
I 0.680 0.998 0.348
I 0.842 0.553 0.180
I 0.842 0.947 0.680
O 0.056 0.179 0.846
O 0.056 0.321 0.346
O 0.152 0.218 0.185
O 0.152 0.282 0.685
O 0.172 0.638 0.025
O 0.172 0.862 0.525
O 0.325 0.220 0.436
O 0.325 0.280 0.936
O 0.340 0.737 0.271
O 0.340 0.763 0.771
O 0.452 0.698 0.120
O 0.452 0.802 0.620
O 0.548 0.198 0.380
O 0.548 0.302 0.880
O 0.660 0.237 0.229
O 0.660 0.263 0.729
O 0.675 0.720 0.064
O 0.675 0.780 0.564
O 0.828 0.138 0.475
O 0.828 0.362 0.975
O 0.848 0.718 0.315
O 0.848 0.782 0.815
O 0.944 0.679 0.654
O 0.944 0.821 0.154

Main lines, low angle first (2θ = 10–90°):
2θ = 20.4°, d = 4.364 Å, I 100
2θ = 20.7°, d = 4.282 Å, I 28
2θ = 24.7°, d = 3.611 Å, I 40
2θ = 28.8°, d = 3.104 Å, I 45
2θ = 28.9°, d = 3.091 Å, I 47
2θ = 29.4°, d = 3.033 Å, I 66
2θ = 32.1°, d = 2.787 Å, I 31
2θ = 38.3°, d = 2.349 Å, I 32
2θ = 48.4°, d = 1.882 Å, I 48
2θ = 50.6°, d = 1.806 Å, I 23

---

Record 3
Computed powder diffraction line list of YMg2 for Cu Kα (weighted mean of Kα1 and Kα2), from a cell relaxed with PBE.
Kinematic intensities with the Lorentz-polarization factor, no thermal factor.

Cell and atoms:
Cell lengths 6.059, 6.059, 9.840 Å; angles 90.00, 90.00, 120.00 degrees
Atoms (fractional coordinates):
Y 0.333 0.667 0.065
Y 0.333 0.667 0.435
Y 0.667 0.333 0.565
Y 0.667 0.333 0.935
Mg 0.000 0.000 0.000
Mg 0.000 0.000 0.500
Mg 0.171 0.342 0.750
Mg 0.171 0.829 0.750
Mg 0.342 0.171 0.250
Mg 0.658 0.829 0.750
Mg 0.829 0.171 0.250
Mg 0.829 0.658 0.250

Main lines, low angle first (2θ = 10–90°):
2θ = 16.9°, d = 5.248 Å, I 25
2θ = 29.5°, d = 3.030 Å, I 71
2θ = 32.2°, d = 2.781 Å, I 100
2θ = 34.8°, d = 2.580 Å, I 85
2θ = 35.4°, d = 2.535 Å, I 44
2θ = 49.5°, d = 1.842 Å, I 19
2θ = 54.0°, d = 1.697 Å, I 42
2θ = 55.8°, d = 1.648 Å, I 21
2θ = 58.6°, d = 1.574 Å, I 25
2θ = 61.2°, d = 1.515 Å, I 20

---

Record 4
Computed powder diffraction line list of SrAcTl2 for Cu Kα (weighted mean of Kα1 and Kα2), from a cell relaxed with PBE.
Kinematic intensities with the Lorentz-polarization factor, no thermal factor.

Cell and atoms:
Cell lengths 5.841, 5.841, 5.841 Å; angles 60.00, 60.00, 60.00 degrees
Atoms (fractional coordinates):
Sr 0.000 0.000 0.000
Ac 0.500 0.500 0.500
Tl 0.250 0.250 0.250
Tl 0.750 0.750 0.750

Main lines, low angle first (2θ = 10–90°):
2θ = 18.6°, d = 4.769 Å, I 7
2θ = 30.6°, d = 2.920 Å, I 100
2θ = 36.1°, d = 2.491 Å, I 5
2θ = 43.8°, d = 2.065 Å, I 19
2θ = 48.0°, d = 1.895 Å, I 2
2θ = 54.4°, d = 1.686 Å, I 41
2θ = 63.7°, d = 1.460 Å, I 13
2θ = 72.4°, d = 1.306 Å, I 18
2θ = 80.6°, d = 1.192 Å, I 4
2θ = 88.6°, d = 1.104 Å, I 22

---

Record 5
Computed powder diffraction line list of PuAl3 for Cu Kα (weighted mean of Kα1 and Kα2), from a cell relaxed with PBE.
Kinematic intensities with the Lorentz-polarization factor, no thermal factor.

Cell and atoms:
Cell lengths 4.186, 4.186, 4.186 Å; angles 90.00, 90.00, 90.00 degrees
Atoms (fractional coordinates):
Pu 0.000 0.000 0.000
Al 0.000 0.500 0.500
Al 0.500 0.000 0.500
Al 0.500 0.500 0.000

Main lines, low angle first (2θ = 10–90°):
2θ = 21.2°, d = 4.186 Å, I 100
2θ = 30.2°, d = 2.960 Å, I 86
2θ = 37.2°, d = 2.417 Å, I 77
2θ = 43.2°, d = 2.093 Å, I 38
2θ = 48.6°, d = 1.872 Å, I 48
2θ = 53.6°, d = 1.709 Å, I 36
2θ = 62.8°, d = 1.480 Å, I 26
2θ = 67.1°, d = 1.395 Å, I 24
2θ = 75.3°, d = 1.262 Å, I 31
2θ = 87.1°, d = 1.119 Å, I 20

---

Record 6
Computed powder diffraction line list of Nd4Os6O19 for Cu Kα (weighted mean of Kα1 and Kα2), from a cell relaxed with PBE.
Kinematic intensities with the Lorentz-polarization factor, no thermal factor.

Cell and atoms:
Cell lengths 7.881, 7.881, 7.881 Å; angles 109.47, 109.47, 109.47 degrees
Atoms (fractional coordinates):
Nd 0.000 0.000 0.308
Nd 0.000 0.308 0.000
Nd 0.308 0.000 0.000
Nd 0.692 0.692 0.692
Os 0.138 0.638 0.500
Os 0.362 0.500 0.862
Os 0.500 0.138 0.638
Os 0.500 0.862 0.362
Os 0.638 0.500 0.138
Os 0.862 0.362 0.500
O 0.000 0.000 0.000
O 0.000 0.322 0.322
O 0.000 0.678 0.678
O 0.058 0.335 0.711
O 0.277 0.942 0.653
O 0.289 0.624 0.347
O 0.322 0.000 0.322
O 0.322 0.322 0.000
O 0.335 0.711 0.058
O 0.347 0.289 0.624
O 0.376 0.665 0.723
O 0.624 0.347 0.289
O 0.653 0.277 0.942
O 0.665 0.723 0.376
O 0.678 0.000 0.678
O 0.678 0.678 0.000
O 0.711 0.058 0.335
O 0.723 0.376 0.665
O 0.942 0.653 0.277

Main lines, low angle first (2θ = 10–90°):
2θ = 13.8°, d = 6.435 Å, I 21
2θ = 19.5°, d = 4.550 Å, I 30
2θ = 24.0°, d = 3.715 Å, I 37
2θ = 31.1°, d = 2.878 Å, I 100
2θ = 37.0°, d = 2.432 Å, I 54
2θ = 49.0°, d = 1.858 Å, I 15
2θ = 51.2°, d = 1.785 Å, I 63
2θ = 55.3°, d = 1.661 Å, I 19
2θ = 61.1°, d = 1.517 Å, I 32
2θ = 70.1°, d = 1.342 Å, I 13

---

Record 7
Computed powder diffraction line list of Ca7Sn6 for Cu Kα (weighted mean of Kα1 and Kα2), from a cell relaxed with PBE.
Kinematic intensities with the Lorentz-polarization factor, no thermal factor.

Cell and atoms:
Cell lengths 7.937, 23.907, 8.507 Å; angles 90.00, 90.00, 90.00 degrees
Atoms (fractional coordinates):
Ca 0.003 0.164 0.175
Ca 0.003 0.336 0.175
Ca 0.166 0.750 0.494
Ca 0.170 0.022 0.326
Ca 0.170 0.478 0.326
Ca 0.171 0.147 0.680
Ca 0.171 0.353 0.680
Ca 0.329 0.647 0.180
Ca 0.329 0.853 0.180
Ca 0.330 0.522 0.826
Ca 0.330 0.978 0.826
Ca 0.334 0.250 0.994
Ca 0.497 0.664 0.675
Ca 0.497 0.836 0.675
Ca 0.503 0.164 0.325
Ca 0.503 0.336 0.325
Ca 0.666 0.750 0.006
Ca 0.670 0.022 0.174
Ca 0.670 0.478 0.174
Ca 0.671 0.147 0.820
Ca 0.671 0.353 0.820
Ca 0.829 0.647 0.320
Ca 0.829 0.853 0.320
Ca 0.830 0.522 0.674
Ca 0.830 0.978 0.674
Ca 0.834 0.250 0.506
Ca 0.997 0.664 0.825
Ca 0.997 0.836 0.825
Sn 0.000 0.058 0.945
Sn 0.000 0.442 0.945
Sn 0.000 0.558 0.055
Sn 0.000 0.942 0.055
Sn 0.042 0.750 0.135
Sn 0.159 0.599 0.525
Sn 0.159 0.901 0.525
Sn 0.207 0.250 0.387
Sn 0.293 0.750 0.887
Sn 0.341 0.099 0.025
Sn 0.341 0.401 0.025
Sn 0.458 0.250 0.635
Sn 0.500 0.058 0.555
Sn 0.500 0.442 0.555
Sn 0.500 0.558 0.445
Sn 0.500 0.942 0.445
Sn 0.542 0.750 0.365
Sn 0.659 0.599 0.975
Sn 0.659 0.901 0.975
Sn 0.707 0.250 0.113
Sn 0.793 0.750 0.613
Sn 0.841 0.099 0.475
Sn 0.841 0.401 0.475
Sn 0.958 0.250 0.865

Main lines, low angle first (2θ = 10–90°):
2θ = 18.9°, d = 4.691 Å, I 90
2θ = 22.3°, d = 3.983 Å, I 50
2θ = 28.1°, d = 3.176 Å, I 37
2θ = 30.3°, d = 2.949 Å, I 100
2θ = 30.7°, d = 2.908 Å, I 55
2θ = 31.1°, d = 2.875 Å, I 80
2θ = 33.8°, d = 2.655 Å, I 60
2θ = 35.5°, d = 2.526 Å, I 100
2θ = 40.8°, d = 2.210 Å, I 52
2θ = 42.4°, d = 2.134 Å, I 37

---

Question: Which formula does entry 6 have?
Answer: Nd4Os6O19